Entry 1:
For Pm2Pr3Y3, the GGA-PBE geometry in Alexandria gives the computed powder diffraction line list in this record (λ = 1.5418 Å (Cu Kα)).

Cell and atoms:
```
data_Pm2Pr3Y3
_chemical_formula_sum 'Pm4 Pr6 Y6'
_cell_length_a 16.442
_cell_length_b 5.868
_cell_length_c 6.115
_cell_angle_alpha 90.00
_cell_angle_beta 110.30
_cell_angle_gamma 90.00
_symmetry_space_group_name_H-M 'C 1 2/m 1'
_symmetry_Int_Tables_number 12
loop_
_symmetry_equiv_pos_as_xyz
'x,y,z'
'-x,-y,-z'
'-x,y,-z'
'x,-y,z'
'x+1/2,y+1/2,z'
'-x+1/2,-y+1/2,-z'
'-x+1/2,y+1/2,-z'
'x+1/2,-y+1/2,z'
loop_
_atom_site_label
_atom_site_type_symbol
_atom_site_fract_x
_atom_site_fract_y
_atom_site_fract_z
_atom_site_occupancy
Pm1 Pm 0.250 0.000 0.183 1
Pr1 Pr 0.000 0.500 0.500 1
Pr2 Pr 0.135 0.500 0.193 1
Y1 Y 0.000 0.000 0.000 1
Y2 Y 0.130 0.000 0.582 1
```

Principal peaks in the range 10° ≤ 2θ ≤ 90°, low angle first:
2θ/deg, I/Imax
29.22, 43
30.47, 61
31.09, 98
31.68, 100
33.71, 26
42.72, 30

Entry 2:
For Ba2UTe6Au, the GGA-PBE geometry in Alexandria gives the computed powder diffraction line list in this record (λ = 1.5418 Å (Cu Kα)).

Cell and atoms:
```
data_Ba2UTe6Au
_chemical_formula_sum 'Ba4 U2 Te12 Au2'
_cell_length_a 8.297
_cell_length_b 10.187
_cell_length_c 9.535
_cell_angle_alpha 90.00
_cell_angle_beta 90.00
_cell_angle_gamma 90.00
_symmetry_space_group_name_H-M 'P m m n'
_symmetry_Int_Tables_number 59
loop_
_symmetry_equiv_pos_as_xyz
'x,y,z'
'-x,-y,-z'
'-x+1/2,-y+1/2,z'
'x+1/2,y+1/2,-z'
'x+1/2,-y,-z'
'-x+1/2,y,z'
'-x,y+1/2,-z'
'x,-y+1/2,z'
loop_
_atom_site_label
_atom_site_type_symbol
_atom_site_fract_x
_atom_site_fract_y
_atom_site_fract_z
_atom_site_occupancy
Ba1 Ba 0.250 0.032 0.162 1
U1 U 0.250 0.750 0.784 1
Te1 Te 0.013 0.250 0.410 1
Te2 Te 0.019 0.750 0.023 1
Te3 Te 0.250 0.034 0.785 1
Au1 Au 0.250 0.250 0.615 1
```

Principal peaks in the range 10° ≤ 2θ ≤ 90°, low angle first:
2θ/deg, I/Imax
14.15, 73
22.51, 42
28.52, 85
29.89, 100
35.24, 53
45.93, 40

Entry 3:
For SmBi2OsO8, the GGA-PBE geometry in Alexandria gives the computed powder diffraction line list in this record (λ = 1.5418 Å (Cu Kα)).

Cell and atoms:
```
data_SmBi2OsO8
_chemical_formula_sum 'Sm1 Bi2 Os1 O8'
_cell_length_a 5.250
_cell_length_b 6.796
_cell_length_c 5.256
_cell_angle_alpha 90.00
_cell_angle_beta 91.46
_cell_angle_gamma 90.00
_symmetry_space_group_name_H-M 'P 1 2/m 1'
_symmetry_Int_Tables_number 10
loop_
_symmetry_equiv_pos_as_xyz
'x,y,z'
'-x,-y,-z'
'-x,y,-z'
'x,-y,z'
loop_
_atom_site_label
_atom_site_type_symbol
_atom_site_fract_x
_atom_site_fract_y
_atom_site_fract_z
_atom_site_occupancy
Sm1 Sm 0.000 0.000 0.000 1
Bi1 Bi 0.500 0.252 0.500 1
Os1 Os 0.000 0.500 0.000 1
O1 O 0.180 0.285 0.181 1
O2 O 0.243 0.500 0.758 1
O3 O 0.314 0.000 0.686 1
```

Principal peaks in the range 10° ≤ 2θ ≤ 90°, low angle first:
2θ/deg, I/Imax
23.65, 58
24.27, 56
31.36, 100
34.15, 33
46.69, 38
47.38, 40

Entry 4:
For Li4Mg2F9, the GGA-PBE geometry in Alexandria gives the computed powder diffraction line list in this record (λ = 1.5418 Å (Cu Kα)).

Cell and atoms:
```
data_Li4Mg2F9
_chemical_formula_sum 'Li8 Mg4 F18'
_cell_length_a 5.0969
_cell_length_b 5.0969
_cell_length_c 13.8722
_cell_angle_alpha 90.00
_cell_angle_beta 90.00
_cell_angle_gamma 120.00
_symmetry_space_group_name_H-M 'P -3 c 1'
_symmetry_Int_Tables_number 165
_symmetry_space_group_name_Hall '-P 3 2"c'
loop_
_atom_site_label
_atom_site_type_symbol
_atom_site_fract_x
_atom_site_fract_y
_atom_site_fract_z
_atom_site_occupancy
Li1 Li 0.3333 0.6667 0.1886 1
Li2 Li 0.3333 0.6667 0.4860 1
Mg1 Mg 0.0000 0.0000 0.1478 1
F1 F 0.0000 0.2963 0.2500 1
F2 F 0.0226 0.3518 0.5828 1
```

Principal peaks in the range 10° ≤ 2θ ≤ 90°, low angle first:
2θ/deg, I/Imax
20.12, 33
23.90, 17
38.96, 13
40.41, 100
53.51, 35
63.20, 26

Entry 5:
For Pr2SbBr2, the GGA-PBE geometry in Alexandria gives the computed powder diffraction line list in this record (λ = 1.5418 Å (Cu Kα)).

Cell and atoms:
```
data_Pr2SbBr2
_chemical_formula_sum 'Pr6 Sb3 Br6'
_cell_length_a 4.4221
_cell_length_b 4.4221
_cell_length_c 32.6213
_cell_angle_alpha 90.00
_cell_angle_beta 90.00
_cell_angle_gamma 120.00
_symmetry_space_group_name_H-M 'R -3 m'
_symmetry_Int_Tables_number 166
_symmetry_space_group_name_Hall '-R 3 2"'
loop_
_atom_site_label
_atom_site_type_symbol
_atom_site_fract_x
_atom_site_fract_y
_atom_site_fract_z
_atom_site_occupancy
Pr1 Pr 0.0000 0.0000 0.1110 1
Sb1 Sb 0.0000 0.0000 0.5000 1
Br1 Br 0.0000 0.0000 0.2764 1
```

Principal peaks in the range 10° ≤ 2θ ≤ 90°, low angle first:
2θ/deg, I/Imax
27.00, 100
32.06, 35
36.17, 22
40.81, 41
43.10, 30
66.74, 19

Entry 6:
For NbVNiRu, the GGA-PBE geometry in Alexandria gives the computed powder diffraction line list in this record (λ = 1.5418 Å (Cu Kα)).

Cell and atoms:
```
data_NbVNiRu
_chemical_formula_sum 'Nb1 V1 Ni1 Ru1'
_cell_length_a 3.684
_cell_length_b 3.877
_cell_length_c 3.951
_cell_angle_alpha 90.00
_cell_angle_beta 90.00
_cell_angle_gamma 90.00
_symmetry_space_group_name_H-M 'P m m m'
_symmetry_Int_Tables_number 47
loop_
_symmetry_equiv_pos_as_xyz
'x,y,z'
'-x,-y,-z'
'-x,-y,z'
'x,y,-z'
'x,-y,-z'
'-x,y,z'
'-x,y,-z'
'x,-y,z'
loop_
_atom_site_label
_atom_site_type_symbol
_atom_site_fract_x
_atom_site_fract_y
_atom_site_fract_z
_atom_site_occupancy
Nb1 Nb 0.000 0.000 0.000 1
V1 V 0.000 0.500 0.500 1
Ni1 Ni 0.500 0.500 0.000 1
Ru1 Ru 0.500 0.000 0.500 1
```

Principal peaks in the range 10° ≤ 2θ ≤ 90°, low angle first:
2θ/deg, I/Imax
40.78, 100
45.94, 18
46.86, 16
49.48, 14
81.49, 12
82.84, 12

Entry 7:
For Np4Sn8Rh, the GGA-PBE geometry in Alexandria gives the computed powder diffraction line list in this record (λ = 1.5418 Å (Cu Kα)).

Cell and atoms:
```
data_Np4Sn8Rh
_chemical_formula_sum 'Np4 Sn8 Rh1'
_cell_length_a 4.409
_cell_length_b 4.583
_cell_length_c 16.263
_cell_angle_alpha 90.00
_cell_angle_beta 90.00
_cell_angle_gamma 90.00
_symmetry_space_group_name_H-M 'P m m 2'
_symmetry_Int_Tables_number 25
loop_
_symmetry_equiv_pos_as_xyz
'x,y,z'
'-x,-y,z'
'-x,y,z'
'x,-y,z'
loop_
_atom_site_label
_atom_site_type_symbol
_atom_site_fract_x
_atom_site_fract_y
_atom_site_fract_z
_atom_site_occupancy
Np1 Np 0.000 0.000 0.000 1
Np2 Np 0.000 0.500 0.475 1
Np3 Np 0.500 0.000 0.793 1
Np4 Np 0.500 0.500 0.304 1
Sn1 Sn 0.000 0.000 0.322 1
Sn2 Sn 0.000 0.000 0.620 1
Sn3 Sn 0.000 0.500 0.149 1
Sn4 Sn 0.000 0.500 0.858 1
Sn5 Sn 0.500 0.000 0.155 1
Sn6 Sn 0.500 0.000 0.456 1
Sn7 Sn 0.500 0.500 0.616 1
Sn8 Sn 0.500 0.500 0.980 1
Rh1 Rh 0.000 0.500 0.700 1
```

Principal peaks in the range 10° ≤ 2θ ≤ 90°, low angle first:
2θ/deg, I/Imax
32.67, 100
33.05, 16
39.32, 21
40.94, 19
58.06, 14
67.11, 14

Entry 8:
For Pu2Ag2Cl2O5, the GGA-PBE geometry in Alexandria gives the computed powder diffraction line list in this record (λ = 1.5418 Å (Cu Kα)).

Cell and atoms:
```
data_Pu2Ag2Cl2O5
_chemical_formula_sum 'Pu4 Ag4 Cl4 O10'
_cell_length_a 4.165
_cell_length_b 4.165
_cell_length_c 23.900
_cell_angle_alpha 90.00
_cell_angle_beta 90.00
_cell_angle_gamma 90.00
_symmetry_space_group_name_H-M 'I 4/m m m'
_symmetry_Int_Tables_number 139
_symmetry_space_group_name_Hall '-I 4 2'
loop_
_atom_site_label
_atom_site_type_symbol
_atom_site_fract_x
_atom_site_fract_y
_atom_site_fract_z
_atom_site_occupancy
Pu1 Pu 0.000 0.000 0.086 1
Ag1 Ag 0.000 0.000 0.321 1
Cl1 Cl 0.000 0.000 0.205 1
O1 O 0.000 0.000 0.000 1
O2 O 0.000 0.500 0.094 1
```

Principal peaks in the range 10° ≤ 2θ ≤ 90°, low angle first:
2θ/deg, I/Imax
14.83, 42
21.66, 85
28.42, 100
30.35, 82
33.95, 52
43.46, 43

Entry 9:
For TbZn4Ni2, the GGA-PBE geometry in Alexandria gives the computed powder diffraction line list in this record (λ = 1.5418 Å (Cu Kα)).

Cell and atoms:
```
data_TbZn4Ni2
_chemical_formula_sum 'Tb2 Zn8 Ni4'
_cell_length_a 7.335
_cell_length_b 7.335
_cell_length_c 4.049
_cell_angle_alpha 90.00
_cell_angle_beta 90.00
_cell_angle_gamma 90.00
_symmetry_space_group_name_H-M 'P 42/m n m'
_symmetry_Int_Tables_number 136
_symmetry_space_group_name_Hall '-P 4n 2n'
loop_
_atom_site_label
_atom_site_type_symbol
_atom_site_fract_x
_atom_site_fract_y
_atom_site_fract_z
_atom_site_occupancy
Tb1 Tb 0.000 0.000 0.000 1
Zn1 Zn 0.094 0.345 0.500 1
Ni1 Ni 0.220 0.780 0.500 1
```

Principal peaks in the range 10° ≤ 2θ ≤ 90°, low angle first:
2θ/deg, I/Imax
35.21, 100
38.83, 45
41.34, 34
44.76, 32
45.04, 44
60.72, 23

Entry 10:
For Ho3ScSb2, the GGA-PBE geometry in Alexandria gives the computed powder diffraction line list in this record (λ = 1.5418 Å (Cu Kα)).

Cell and atoms:
```
data_Ho3ScSb2
_chemical_formula_sum 'Ho3 Sc1 Sb2'
_cell_length_a 4.395
_cell_length_b 4.395
_cell_length_c 8.304
_cell_angle_alpha 90.00
_cell_angle_beta 90.00
_cell_angle_gamma 90.00
_symmetry_space_group_name_H-M 'P -4 m 2'
_symmetry_Int_Tables_number 115
loop_
_symmetry_equiv_pos_as_xyz
'x,y,z'
'y,-x,-z'
'-x,-y,z'
'-y,x,-z'
'-x,y,z'
'-y,-x,-z'
'x,-y,z'
'y,x,-z'
loop_
_atom_site_label
_atom_site_type_symbol
_atom_site_fract_x
_atom_site_fract_y
_atom_site_fract_z
_atom_site_occupancy
Ho1 Ho 0.000 0.000 0.000 1
Ho2 Ho 0.000 0.500 0.651 1
Sc1 Sc 0.500 0.500 0.000 1
Sb1 Sb 0.000 0.500 0.275 1
```

Principal peaks in the range 10° ≤ 2θ ≤ 90°, low angle first:
2θ/deg, I/Imax
30.72, 99
32.34, 45
36.10, 100
41.07, 71
53.22, 44
59.49, 44

Entry 11:
For Tb5TmSc5, the GGA-PBE geometry in Alexandria gives the computed powder diffraction line list in this record (λ = 1.5418 Å (Cu Kα)).

Cell and atoms:
```
data_Tb5TmSc5
_chemical_formula_sum 'Tb5 Tm1 Sc5'
_cell_length_a 5.7804
_cell_length_b 5.7804
_cell_length_c 11.3051
_cell_angle_alpha 90.00
_cell_angle_beta 90.00
_cell_angle_gamma 120.00
_symmetry_space_group_name_H-M 'P -6 m 2'
_symmetry_Int_Tables_number 187
_symmetry_space_group_name_Hall 'P -6 2'
loop_
_atom_site_label
_atom_site_type_symbol
_atom_site_fract_x
_atom_site_fract_y
_atom_site_fract_z
_atom_site_occupancy
Tb1 Tb 0.0000 0.0000 0.0000 1
Tb2 Tb 0.3333 0.6667 0.3176 1
Tb3 Tb 0.6667 0.3333 0.1585 1
Tm1 Tm 0.3333 0.6667 0.0000 1
Sc1 Sc 0.0000 0.0000 0.2694 1
Sc2 Sc 0.3288 0.1644 0.5000 1
```

Principal peaks in the range 10° ≤ 2θ ≤ 90°, low angle first:
2θ/deg, I/Imax
29.67, 100
30.94, 87
31.96, 26
39.30, 18
43.40, 24
54.25, 37

Entry 12:
For PmMg9Zn2, the GGA-PBE geometry in Alexandria gives the computed powder diffraction line list in this record (λ = 1.5418 Å (Cu Kα)).

Cell and atoms:
```
data_PmMg9Zn2
_chemical_formula_sum 'Pm4 Mg36 Zn8'
_cell_length_a 11.901
_cell_length_b 11.901
_cell_length_c 7.559
_cell_angle_alpha 90.00
_cell_angle_beta 90.00
_cell_angle_gamma 90.00
_symmetry_space_group_name_H-M 'I 41/a m d'
_symmetry_Int_Tables_number 141
loop_
_symmetry_equiv_pos_as_xyz
'x,y,z'
'-x,-y,-z'
'-y+1/4,x+3/4,z+1/4'
'y+1/4,-x+3/4,-z+1/4'
'-x+1/2,-y,z+1/2'
'x+1/2,y,-z+1/2'
'y+1/4,-x+1/4,z+3/4'
'-y+1/4,x+1/4,-z+3/4'
'x,-y,-z'
'-x,y,z'
'-y+1/4,-x+1/4,-z+3/4'
'y+1/4,x+1/4,z+3/4'
'-x+1/2,y,-z+1/2'
'x+1/2,-y,z+1/2'
'y+1/4,x+3/4,-z+1/4'
'-y+1/4,-x+3/4,z+1/4'
'x+1/2,y+1/2,z+1/2'
'-x+1/2,-y+1/2,-z+1/2'
'-y+3/4,x+1/4,z+3/4'
'y+3/4,-x+1/4,-z+3/4'
'-x,-y+1/2,z'
'x,y+1/2,-z'
'y+3/4,-x+3/4,z+1/4'
'-y+3/4,x+3/4,-z+1/4'
'x+1/2,-y+1/2,-z+1/2'
'-x+1/2,y+1/2,z+1/2'
'-y+3/4,-x+3/4,-z+1/4'
'y+3/4,x+3/4,z+1/4'
'-x,y+1/2,-z'
'x,-y+1/2,z'
'y+3/4,x+1/4,-z+3/4'
'-y+3/4,-x+1/4,z+3/4'
loop_
_atom_site_label
_atom_site_type_symbol
_atom_site_fract_x
_atom_site_fract_y
_atom_site_fract_z
_atom_site_occupancy
Pm1 Pm 0.000 0.250 0.375 1
Mg1 Mg 0.000 0.250 0.875 1
Mg2 Mg 0.122 0.052 0.681 1
Zn1 Zn 0.000 0.000 0.000 1
```

Principal peaks in the range 10° ≤ 2θ ≤ 90°, low angle first:
2θ/deg, I/Imax
20.41, 67
29.53, 53
30.03, 22
33.63, 100
36.45, 26
41.50, 24

Copy entry 9 word for word.
For TbZn4Ni2, the GGA-PBE geometry in Alexandria gives the computed powder diffraction line list in this record (λ = 1.5418 Å (Cu Kα)).

Cell and atoms:
```
data_TbZn4Ni2
_chemical_formula_sum 'Tb2 Zn8 Ni4'
_cell_length_a 7.335
_cell_length_b 7.335
_cell_length_c 4.049
_cell_angle_alpha 90.00
_cell_angle_beta 90.00
_cell_angle_gamma 90.00
_symmetry_space_group_name_H-M 'P 42/m n m'
_symmetry_Int_Tables_number 136
_symmetry_space_group_name_Hall '-P 4n 2n'
loop_
_atom_site_label
_atom_site_type_symbol
_atom_site_fract_x
_atom_site_fract_y
_atom_site_fract_z
_atom_site_occupancy
Tb1 Tb 0.000 0.000 0.000 1
Zn1 Zn 0.094 0.345 0.500 1
Ni1 Ni 0.220 0.780 0.500 1
```

Principal peaks in the range 10° ≤ 2θ ≤ 90°, low angle first:
2θ/deg, I/Imax
35.21, 100
38.83, 45
41.34, 34
44.76, 32
45.04, 44
60.72, 23

> Number 3 is which compound?

SmBi2OsO8